Diffraction record for Na4NbAlSi3O12. The powder diffractogram is simulated, not measured: it uses a crystal structure in the Materials Project, relaxed with GGA-PBE and Cu Kα X-rays.
Intensities are scaled so that the largest is 100.

Crystal structure
a = 8.9819 Å, b = 8.9819 Å, c = 8.9819 Å
α = 60.27°, β = 60.27°, γ = 60.27°
Sites, in units of the cell vectors:
Na 0.0000 0.0000 0.0000
Na 0.1271 0.3878 0.7428
Na 0.2428 0.8878 0.6271
Na 0.3878 0.7428 0.1271
Na 0.5000 0.5000 0.5000
Na 0.6271 0.2428 0.8878
Na 0.7428 0.1271 0.3878
Na 0.8878 0.6271 0.2428
Nb 0.1513 0.1513 0.1513
Nb 0.6513 0.6513 0.6513
Al 0.3589 0.3589 0.3589
Al 0.8589 0.8589 0.8589
Si 0.0515 0.7511 0.4731
Si 0.2511 0.5515 0.9731
Si 0.4731 0.0515 0.7511
Si 0.5515 0.9731 0.2511
Si 0.7511 0.4731 0.0515
Si 0.9731 0.2511 0.5515
O 0.0155 0.7829 0.6520
O 0.0678 0.9295 0.2825
O 0.0766 0.7332 0.9419
O 0.1520 0.2829 0.5155
O 0.2296 0.3651 0.9974
O 0.2332 0.5766 0.4419
O 0.2825 0.0678 0.9295
O 0.2829 0.5155 0.1520
O 0.3651 0.9974 0.2296
O 0.4295 0.5678 0.7825
O 0.4419 0.2332 0.5766
O 0.4974 0.8651 0.7296
O 0.5155 0.1520 0.2829
O 0.5678 0.7825 0.4295
O 0.5766 0.4419 0.2332
O 0.6520 0.0155 0.7829
O 0.7296 0.4974 0.8651
O 0.7332 0.9419 0.0766
O 0.7825 0.4295 0.5678
O 0.7829 0.6520 0.0155
O 0.8651 0.7296 0.4974
O 0.9295 0.2825 0.0678
O 0.9419 0.0766 0.7332
O 0.9974 0.2296 0.3651

Top 10 peaks for 10 to 90 degrees two-theta, sorted by position:
2θ = 13.92°, d 6.364, I 43
2θ = 19.74°, d 4.498, I 97
2θ = 23.17°, d 3.839, I 23
2θ = 28.04°, d 3.182, I 30
2θ = 30.55°, d 2.926, I 24
2θ = 31.48°, d 2.841, I 100
2θ = 34.45°, d 2.603, I 56
2θ = 45.11°, d 2.010, I 20
2θ = 47.35°, d 1.920, I 38
2θ = 59.86°, d 1.545, I 24